For TlHgRu2O8, the PBE geometry in Alexandria gives the simulated powder diffractogram in this record (copper Kα).

Cell and atoms:
```
12
Lattice="5.5400 -2.9974 0.0000 5.5400 2.9974 0.0000 -2.4597 0.0000 6.3704" Properties=species:S:1:pos:R:3 pbc="T T T"
Tl 0.0000 0.0000 0.0000
Hg 4.3101 0.0000 3.1852
Ru 0.6653 0.0000 4.3993
Ru 7.9549 0.0000 1.9711
O 3.3349 1.5661 1.5024
O 0.6794 0.0000 2.6363
O 2.3365 0.0000 4.9213
O 5.2854 1.5661 4.8680
O 3.3349 -1.5661 1.5024
O 6.2837 0.0000 1.4491
O 7.9408 0.0000 3.7340
O 5.2854 -1.5661 4.8680
```

Peak list (10 most intense, 15° ≤ 2θ ≤ 90°, low angle first)
2θ = 24.01°, rel. 100
2θ = 27.08°, rel. 39
2θ = 28.77°, rel. 73
2θ = 29.81°, rel. 34
2θ = 40.71°, rel. 26
2θ = 43.01°, rel. 24
2θ = 46.40°, rel. 18
2θ = 49.18°, rel. 15
2θ = 49.54°, rel. 15
2θ = 52.27°, rel. 14